This entry pairs a crystal structure of Ho9Sb5CO4 with its calculated XRD peak list. Radiation: CuKα. Structure: a DFT-relaxed cell (PBE, Alexandria).

Principal peaks in the range 10 to 90 degrees two-theta, sorted by position:
28.6°, I = 37.0, hkl 3 1 0
29.9°, I = 71.6, hkl 0 0 3
30.3°, I = 100.0, hkl 3 1 1
35.0°, I = 98.3, hkl 3 1 2
40.9°, I = 62.5, hkl 2 4 0
41.8°, I = 20.1, hkl 3 1 3
50.1°, I = 19.4, hkl 3 1 4
51.4°, I = 56.0, hkl 2 4 3
59.4°, I = 26.7, hkl 3 1 5
67.7°, I = 21.1, hkl 6 2 3

Cell and atoms:
a = 9.8746 Å, b = 9.8746 Å, c = 8.9694 Å
α = 90.00°, β = 90.00°, γ = 90.00°
Space group P4/n (No. 85, origin choice 2)
One atom of each set of equivalent atoms:
Ho1 0.0257 0.3301 0.0035 [8 per cell]
Ho2 0.0452 0.8554 0.6629 [8 per cell]
Ho3 0.2500 0.2500 0.6888 [2 per cell]
Sb1 0.0575 0.8466 0.3070 [8 per cell]
Sb2 0.2500 0.2500 0.3307 [2 per cell]
C1 0.2500 0.2500 0.9410 [2 per cell]
O1 0.0240 0.8716 0.9068 [8 per cell]